Record 1
Starting from a GGA-PBE-relaxed structure, the XRD peak list of KTa2PO8 was simulated for Cu Kα (λ = 1.5418 Å).
No peak broadening, texture or thermal motion is included.

Main lines, in order of falling intensity (2θ from 5° to 70°):
| two_theta | I_rel |
| --- | --- |
| 26.72 | 1000 |
| 13.27 | 419 |
| 18.54 | 389 |
| 11.38 | 384 |
| 25.42 | 370 |
| 37.21 | 358 |
| 29.13 | 219 |
| 28.78 | 199 |
| 47.19 | 181 |
| 32.72 | 179 |

Structure:
```
KTa2PO8
1.0
6.6724 3.8523 3.5043
-6.6724 3.8523 3.5043
0.0000 -7.7047 3.5043
K Ta P O
3 6 3 24
direct
0.0296 0.6402 0.3301
0.3301 0.0296 0.6402
0.6402 0.3301 0.0296
0.0802 0.7631 0.8899
0.3785 0.5685 0.6958
0.5685 0.6958 0.3785
0.6958 0.3785 0.5685
0.7631 0.8899 0.0802
0.8899 0.0802 0.7631
0.0047 0.2288 0.4520
0.2288 0.4520 0.0047
0.4520 0.0047 0.2288
0.0217 0.1465 0.5977
0.0443 0.9363 0.7923
0.0853 0.2813 0.9628
0.1465 0.5977 0.0217
0.1752 0.3722 0.4933
0.2281 0.7027 0.7534
0.2813 0.9628 0.0853
0.3120 0.4356 0.8597
0.3722 0.4933 0.1752
0.4117 0.6652 0.5207
0.4356 0.8597 0.3120
0.4933 0.1752 0.3722
0.5207 0.4117 0.6651
0.5754 0.7285 0.8822
0.5977 0.0217 0.1465
0.6652 0.5207 0.4117
0.7027 0.7534 0.2281
0.7285 0.8822 0.5754
0.7534 0.2281 0.7027
0.7923 0.0443 0.9363
0.8597 0.3120 0.4356
0.8822 0.5754 0.7285
0.9363 0.7923 0.0443
0.9628 0.0853 0.2813
```

***

Record 2
Starting from a GGA-PBE-relaxed structure, the XRD peak list of LaZn4Ni was simulated for Cu Kα (λ = 1.5418 Å).
No peak broadening, texture or thermal motion is included.

Main lines, in order of falling intensity (2θ from 5° to 70°):
| two_theta | I_rel |
| --- | --- |
| 39.96 | 1000 |
| 28.47 | 413 |
| 39.19 | 355 |
| 42.17 | 286 |
| 33.77 | 275 |
| 64.59 | 231 |
| 58.92 | 209 |
| 55.08 | 132 |
| 44.74 | 127 |
| 57.21 | 115 |

Structure:
```
LaZn4Ni
1.0
5.3080 0.0000 0.0000
-2.6540 4.5969 0.0000
0.0000 0.0000 4.2861
La Zn Ni
1 4 1
direct
0.0000 0.0000 0.0000
0.0074 0.5037 0.5000
0.4963 0.5037 0.5000
0.4963 0.9926 0.5000
0.6667 0.3333 0.0000
0.3333 0.6667 0.0000
```

***

Record 3
Starting from a GGA-PBE-relaxed structure, the XRD peak list of NdCoC2 was simulated for Cu Kα (λ = 1.5418 Å).
No peak broadening, texture or thermal motion is included.

Main lines, in order of falling intensity (2θ from 5° to 70°):
| two_theta | I_rel |
| --- | --- |
| 31.72 | 1000 |
| 36.85 | 905 |
| 34.10 | 666 |
| 35.64 | 623 |
| 48.25 | 370 |
| 24.55 | 363 |
| 23.68 | 361 |
| 38.00 | 317 |
| 33.36 | 289 |
| 28.28 | 274 |

Structure:
```
NdCoC2
1.0
2.6847 -2.6861 0.0000
2.6847 2.6861 0.0000
-1.4967 0.0000 7.2520
Nd Co C
2 2 4
direct
0.0727 0.9273 0.5000
0.9273 0.0727 0.0000
0.3711 0.5133 0.8055
0.5133 0.3711 0.3055
0.4415 0.5929 0.0732
0.4895 0.8511 0.2262
0.5929 0.4415 0.5732
0.8511 0.4895 0.7262
```

***

Record 4
Starting from a GGA-PBE-relaxed structure, the XRD peak list of Ca7TeN6 was simulated for Cu Kα (λ = 1.5418 Å).
No peak broadening, texture or thermal motion is included.

Main lines, in order of falling intensity (2θ from 5° to 70°):
| two_theta | I_rel |
| --- | --- |
| 32.77 | 1000 |
| 34.50 | 629 |
| 21.18 | 578 |
| 43.63 | 331 |
| 29.98 | 317 |
| 30.96 | 310 |
| 15.45 | 287 |
| 14.40 | 269 |
| 33.83 | 259 |
| 55.04 | 239 |

Structure:
```
Ca7TeN6
1.0
-3.2716 5.9640 6.1493
3.2716 -5.9640 6.1493
3.2716 5.9640 -6.1493
Ca Te N
14 2 12
direct
0.0458 0.2199 0.2657
0.0912 0.4987 0.8474
0.1514 0.9987 0.4076
0.2500 0.2500 0.0000
0.3486 0.7562 0.8474
0.4088 0.2562 0.4076
0.4542 0.7199 0.1742
0.5458 0.2801 0.8258
0.5912 0.7438 0.5924
0.6514 0.2438 0.1526
0.7500 0.7500 0.0000
0.8486 0.0013 0.5924
0.9088 0.5013 0.1526
0.9542 0.7801 0.7343
0.2500 0.7500 0.5000
0.7500 0.2500 0.5000
0.0738 0.9065 0.5905
0.1500 0.8958 0.0458
0.1840 0.5935 0.1673
0.3160 0.4833 0.4095
0.3500 0.3958 0.7458
0.4262 0.0167 0.8327
0.5738 0.9833 0.1673
0.6500 0.6042 0.2542
0.6840 0.5167 0.5905
0.8160 0.4065 0.8327
0.8500 0.1042 0.9542
0.9262 0.0935 0.4095
```

***

Record 5
Starting from a GGA-PBE-relaxed structure, the XRD peak list of CrN2 was simulated for Cu Kα (λ = 1.5418 Å).
No peak broadening, texture or thermal motion is included.

Main lines, in order of falling intensity (2θ from 5° to 70°):
| two_theta | I_rel |
| --- | --- |
| 20.02 | 1000 |
| 25.19 | 837 |
| 20.67 | 518 |
| 31.07 | 381 |
| 23.81 | 350 |
| 35.43 | 260 |
| 32.38 | 256 |
| 33.03 | 205 |
| 37.44 | 182 |
| 25.35 | 161 |

Structure:
```
CrN2
1.0
3.5929 -4.4351 0.0000
3.5929 4.4351 0.0000
-1.0399 0.0000 5.7570
Cr N
4 8
direct
0.0403 0.9597 0.5000
0.3687 0.5395 0.5819
0.5395 0.3687 0.0819
0.9597 0.0403 0.0000
0.1495 0.2744 0.5313
0.2580 0.7947 0.5338
0.2744 0.1495 0.0313
0.4764 0.5462 0.8716
0.5462 0.4764 0.3716
0.7947 0.2580 0.0338
0.8590 0.8941 0.7162
0.8941 0.8590 0.2162
```

***

Record 6
Starting from a GGA-PBE-relaxed structure, the XRD peak list of LaRh3 was simulated for Cu Kα (λ = 1.5418 Å).
No peak broadening, texture or thermal motion is included.

Main lines, in order of falling intensity (2θ from 5° to 70°):
| two_theta | I_rel |
| --- | --- |
| 39.12 | 1000 |
| 31.58 | 435 |
| 39.01 | 365 |
| 41.66 | 338 |
| 33.33 | 322 |
| 69.99 | 252 |
| 63.45 | 236 |
| 40.44 | 211 |
| 61.42 | 163 |
| 58.47 | 149 |

Structure:
```
LaRh3
1.0
5.3771 0.0000 0.0000
-2.6886 4.6567 0.0000
0.0000 0.0000 17.8460
La Rh
6 18
direct
0.3333 0.6667 0.0417
0.3333 0.6667 0.2500
0.3333 0.6667 0.4583
0.6667 0.3333 0.5417
0.6667 0.3333 0.7500
0.6667 0.3333 0.9583
0.0000 0.0000 0.0000
0.0000 0.0000 0.2500
0.0000 0.0000 0.5000
0.0000 0.0000 0.7500
0.1666 0.3333 0.6275
0.1666 0.3333 0.8725
0.1666 0.8334 0.6275
0.1666 0.8334 0.8725
0.3333 0.1666 0.1275
0.3333 0.1666 0.3725
0.3333 0.6667 0.7500
0.6667 0.3333 0.2500
0.6667 0.8334 0.6275
0.6667 0.8334 0.8725
0.8334 0.1666 0.1275
0.8334 0.1666 0.3725
0.8334 0.6667 0.1275
0.8334 0.6667 0.3725
```

***

Record 7
Starting from a GGA-PBE-relaxed structure, the XRD peak list of Li2Ti2S5 was simulated for Cu Kα (λ = 1.5418 Å).
No peak broadening, texture or thermal motion is included.

Main lines, in order of falling intensity (2θ from 5° to 70°):
| two_theta | I_rel |
| --- | --- |
| 17.05 | 1000 |
| 33.66 | 569 |
| 29.38 | 569 |
| 16.40 | 460 |
| 37.25 | 416 |
| 29.55 | 273 |
| 49.84 | 208 |
| 45.72 | 192 |
| 55.90 | 171 |
| 49.17 | 152 |

Structure:
```
Li2Ti2S5
1.0
5.2753 -3.1133 0.0000
5.2753 3.1133 0.0000
-5.0153 0.0000 10.8110
Li Ti S
4 4 10
direct
0.0561 0.3245 0.3245
0.3245 0.0561 0.8245
0.6755 0.9439 0.1755
0.9439 0.6755 0.6755
0.2509 0.5726 0.0578
0.4274 0.7491 0.4422
0.5726 0.2509 0.5578
0.7491 0.4274 0.9422
0.1439 0.8561 0.2500
0.2122 0.2143 0.0390
0.2143 0.2122 0.5390
0.3125 0.5209 0.8624
0.4791 0.6875 0.6376
0.5209 0.3125 0.3624
0.6875 0.4791 0.1376
0.7857 0.7878 0.4610
0.7878 0.7857 0.9610
0.8561 0.1439 0.7500
```

***

Record 8
Starting from a GGA-PBE-relaxed structure, the XRD peak list of KAlTe2 was simulated for Cu Kα (λ = 1.5418 Å).
No peak broadening, texture or thermal motion is included.

Main lines, in order of falling intensity (2θ from 5° to 70°):
| two_theta | I_rel |
| --- | --- |
| 24.97 | 1000 |
| 28.30 | 898 |
| 40.64 | 552 |
| 22.50 | 528 |
| 42.73 | 398 |
| 30.34 | 347 |
| 30.36 | 326 |
| 52.04 | 313 |
| 50.13 | 287 |
| 32.45 | 220 |

Structure:
```
KAlTe2
1.0
5.9874 -5.9832 0.0000
5.9874 5.9832 0.0000
-2.9956 0.0000 16.5520
K Al Te
8 8 16
direct
0.1510 0.7791 0.6090
0.2207 0.3458 0.8823
0.2209 0.8490 0.8910
0.3458 0.2207 0.3823
0.6542 0.7793 0.6177
0.7791 0.1510 0.1090
0.7793 0.6542 0.1177
0.8490 0.2209 0.3910
0.0878 0.7098 0.3381
0.2902 0.9122 0.1619
0.2906 0.4185 0.1626
0.4185 0.2906 0.6626
0.5815 0.7094 0.3374
0.7094 0.5815 0.8374
0.7098 0.0878 0.8381
0.9122 0.2902 0.6619
0.0535 0.4283 0.2505
0.0532 0.9468 0.2500
0.1422 0.2657 0.5670
0.2651 0.6401 0.0641
0.2657 0.1422 0.0670
0.3599 0.7349 0.4359
0.4283 0.0535 0.7505
0.4277 0.5723 0.7500
0.5723 0.4277 0.2500
0.5717 0.9465 0.2495
0.6401 0.2651 0.5641
0.7343 0.8578 0.9330
0.7349 0.3599 0.9359
0.8578 0.7343 0.4330
0.9468 0.0532 0.7500
0.9465 0.5717 0.7495
```

***

Record 9
Starting from a GGA-PBE-relaxed structure, the XRD peak list of BaCdGeS4 was simulated for Cu Kα (λ = 1.5418 Å).
No peak broadening, texture or thermal motion is included.

Main lines, in order of falling intensity (2θ from 5° to 70°):
| two_theta | I_rel |
| --- | --- |
| 22.62 | 1000 |
| 36.14 | 703 |
| 28.33 | 505 |
| 22.94 | 385 |
| 32.19 | 338 |
| 43.41 | 292 |
| 15.94 | 270 |
| 42.88 | 167 |
| 60.01 | 165 |
| 45.88 | 158 |

Structure:
```
BaCdGeS4
1.0
0.0000 11.1211 6.4744
10.8201 0.0000 6.4744
10.8201 11.1211 0.0000
Ba Cd Ge S
8 8 8 32
direct
0.0000 0.0000 0.0000
0.2390 0.7500 0.2580
0.2500 0.2500 0.2500
0.4892 0.4892 0.5108
0.4969 0.9920 0.5000
0.7392 0.7392 0.7608
0.7500 0.2390 0.7531
0.9920 0.4969 0.0110
0.0132 0.4829 0.7389
0.0783 0.9785 0.6725
0.4829 0.0132 0.7651
0.4849 0.5111 0.7671
0.5111 0.4849 0.2368
0.5775 0.9792 0.1717
0.9785 0.0783 0.2708
0.9792 0.5775 0.2715
0.1490 0.2636 0.6009
0.2323 0.7613 0.5183
0.2636 0.1490 0.9864
0.2636 0.6491 0.9864
0.6491 0.2636 0.1010
0.7317 0.7618 0.0177
0.7613 0.2323 0.4882
0.7618 0.7317 0.4887
0.0509 0.7292 0.5404
0.0557 0.2290 0.5342
0.0690 0.7158 0.0210
0.0703 0.2176 0.0185
0.2124 0.5709 0.6990
0.2176 0.0703 0.6935
0.2290 0.0557 0.1810
0.2315 0.5565 0.1797
0.2705 0.4735 0.9793
0.2707 0.9734 0.9795
0.2715 0.9544 0.4767
0.2909 0.4563 0.4564
0.4137 0.7657 0.3368
0.4537 0.7936 0.7937
0.4563 0.2909 0.7963
0.4735 0.2705 0.2766
0.5510 0.7323 0.0376
0.5565 0.2315 0.0324
0.5704 0.7096 0.5208
0.5709 0.2124 0.5177
0.7096 0.5704 0.1991
0.7158 0.0690 0.1943
0.7292 0.0509 0.6796
0.7323 0.5510 0.6791
0.7657 0.4137 0.4838
0.7662 0.9132 0.4843
0.7733 0.9526 0.9785
0.7936 0.4537 0.9591
0.9132 0.7662 0.8363
0.9526 0.7733 0.2956
0.9544 0.2715 0.2974
0.9734 0.2707 0.7765
```

***

Record 10
Starting from a GGA-PBE-relaxed structure, the XRD peak list of Y3Mg2CrS8 was simulated for Cu Kα (λ = 1.5418 Å).
No peak broadening, texture or thermal motion is included.

Main lines, in order of falling intensity (2θ from 5° to 70°):
| two_theta | I_rel |
| --- | --- |
| 32.71 | 1000 |
| 13.95 | 549 |
| 46.63 | 478 |
| 47.23 | 459 |
| 26.85 | 404 |
| 26.97 | 337 |
| 14.17 | 231 |
| 42.89 | 193 |
| 27.21 | 190 |
| 58.12 | 159 |

Structure:
```
Y3Mg2CrS8
1.0
3.8958 2.2493 6.2488
-3.8958 2.2493 6.2488
0.0000 -4.4985 6.2488
Y Mg Cr S
3 2 1 8
direct
0.0000 0.5000 0.5000
0.5000 0.0000 0.5000
0.5000 0.5000 0.0000
0.1256 0.1256 0.1256
0.8744 0.8744 0.8744
0.5000 0.5000 0.5000
0.2544 0.2544 0.2544
0.2703 0.2703 0.7288
0.2703 0.7288 0.2703
0.2712 0.7297 0.7297
0.7288 0.2703 0.2703
0.7297 0.2712 0.7297
0.7297 0.7297 0.2712
0.7456 0.7456 0.7456
```